For Zn10Fe3, DFT lattice parameters and positions (GGA-PBE) gives the theoretical X-ray diffraction stick pattern in this record (Cu Kα (λ = 1.5418 Å)).
Kinematic intensities with the Lorentz-polarization factor, no thermal factor.

Main lines, in order of falling intensity (10° ≤ 2θ ≤ 80°):
| two_theta | I (rel.) |
| --- | --- |
| 42.68 | 100 |
| 47.45 | 11 |
| 78.19 | 10 |
| 42.75 | 9 |
| 34.57 | 8 |
| 37.44 | 7 |
| 72.93 | 6 |
| 78.06 | 6 |
| 49.70 | 5 |
| 71.12 | 4 |

Crystal structure
Lattice parameters (Å, degrees): 7.787 7.779 8.980 54.81 54.72 70.47
Positions (direct):
Zn  0.000  0.000  0.000
Zn  0.000  0.901  0.353
Zn  0.003  0.292  0.355
Zn  0.003  0.400  0.600
Zn  0.038  0.645  0.708
Zn  0.254  0.647  0.099
Zn  0.288  0.288  0.712
Zn  0.292  0.003  0.350
Zn  0.292  0.392  0.962
Zn  0.294  0.905  0.706
Zn  0.392  0.292  0.355
Zn  0.400  0.003  0.997
Zn  0.441  0.646  0.559
Zn  0.645  0.038  0.608
Zn  0.645  0.650  0.997
Zn  0.646  0.441  0.354
Zn  0.647  0.254  0.000
Zn  0.650  0.645  0.708
Zn  0.901  0.000  0.746
Zn  0.905  0.294  0.095
Fe  0.312  0.653  0.347
Fe  0.648  0.851  0.149
Fe  0.653  0.312  0.688
Fe  0.653  0.977  0.347
Fe  0.851  0.648  0.352
Fe  0.977  0.653  0.023



For ZrZn11Fe, DFT lattice parameters and positions (GGA-PBE) gives the theoretical X-ray diffraction stick pattern in this record (Cu Kα (λ = 1.5418 Å)).
Kinematic intensities with the Lorentz-polarization factor, no thermal factor.

Main lines, in order of falling intensity (10° ≤ 2θ ≤ 80°):
| two_theta | I (rel.) |
| --- | --- |
| 41.60 | 100 |
| 45.84 | 60 |
| 41.22 | 53 |
| 40.78 | 46 |
| 40.56 | 36 |
| 35.46 | 30 |
| 46.58 | 30 |
| 41.36 | 26 |
| 35.65 | 25 |
| 75.46 | 21 |

Crystal structure
Lattice parameters (Å, degrees): 6.686 6.686 6.619 98.48 98.48 134.58
Positions (direct):
Zr  0.000  0.000  0.000
Zn  0.000  0.500  0.000
Zn  0.011  0.669  0.647
Zn  0.282  0.494  0.785
Zn  0.331  0.989  0.353
Zn  0.494  0.282  0.785
Zn  0.500  0.000  0.000
Zn  0.500  0.500  0.500
Zn  0.506  0.718  0.215
Zn  0.669  0.011  0.647
Zn  0.718  0.506  0.215
Zn  0.989  0.331  0.353
Fe  0.000  0.000  0.500